[1]
This entry pairs a crystal structure of Mn4Fe8Si3Ge with its computed X-ray powder pattern. Radiation: copper Kα. Structure: a DFT-relaxed cell (GGA-PBE, the Materials Project).

Atomic structure:
```
16
Lattice="1.986 1.146 12.982 -1.986 1.146 12.982 0.000 -2.293 12.982" Properties=species:S:1:pos:R:3 pbc="T T T"
Mn 0.000 0.000 4.858
Mn 0.000 0.000 14.591
Mn 0.000 0.000 24.355
Mn 0.000 0.000 34.088
Fe 0.000 0.000 2.432
Fe 0.000 0.000 7.352
Fe 0.000 0.000 12.175
Fe 0.000 0.000 16.976
Fe 0.000 0.000 21.970
Fe 0.000 0.000 26.771
Fe 0.000 0.000 31.594
Fe 0.000 0.000 36.514
Si 0.000 0.000 0.000
Si 0.000 0.000 9.748
Si 0.000 0.000 29.198
Ge 0.000 0.000 19.473
```

Most intense lines, 2θ = 10–90°, by angle:
| 2theta | I_rel |
| --- | --- |
| 13.64 | 1 |
| 26.01 | 1 |
| 26.31 | 1 |
| 27.50 | 2 |
| 31.86 | 1 |
| 45.68 | 100 |
| 66.58 | 15 |
| 84.48 | 29 |

=====

[2]
This entry pairs a crystal structure of ZrMnFe with its computed X-ray powder pattern. Radiation: copper Kα. Structure: a DFT-relaxed cell (GGA-PBE, the Materials Project).

Atomic structure:
```
12
Lattice="8.164 0.000 0.000 0.000 2.473 4.309 0.000 -2.473 4.309" Properties=species:S:1:pos:R:3 pbc="T T T"
Zr 1.519 0.000 0.000
Zr 2.554 0.000 5.747
Zr 5.611 0.000 5.747
Zr 6.646 0.000 0.000
Mn 0.000 0.000 4.303
Mn 4.082 0.000 1.413
Mn 4.082 -1.256 3.601
Mn 4.082 1.256 3.601
Fe 0.000 -1.235 2.153
Fe 0.000 1.235 2.153
Fe 2.075 0.000 2.871
Fe 6.089 0.000 2.871
```

Most intense lines, 2θ = 10–90°, by angle:
| 2theta | I_rel |
| --- | --- |
| 36.16 | 37 |
| 36.32 | 18 |
| 39.18 | 100 |
| 42.60 | 78 |
| 42.75 | 40 |
| 43.44 | 27 |
| 43.63 | 53 |
| 72.79 | 21 |

=====

[3]
This entry pairs a crystal structure of SmTlO3 with its computed X-ray powder pattern. Radiation: copper Kα. Structure: a DFT-relaxed cell (GGA-PBE, the Materials Project).

Atomic structure:
```
20
Lattice="6.072 0.000 0.000 0.000 8.642 0.000 0.000 0.000 5.702" Properties=species:S:1:pos:R:3 pbc="T T T"
Sm 0.420 2.160 0.137
Sm 2.616 6.481 2.988
Sm 3.456 2.160 2.714
Sm 5.652 6.481 5.565
Tl 0.000 0.000 2.851
Tl 0.000 4.321 2.851
Tl 3.036 0.000 0.000
Tl 3.036 4.321 0.000
O 0.471 6.481 1.971
O 1.131 5.018 4.621
O 1.131 7.945 4.621
O 1.905 0.697 1.770
O 1.905 3.624 1.770
O 2.565 2.160 4.822
O 3.507 6.481 0.880
O 4.167 5.018 3.932
O 4.167 7.945 3.932
O 4.941 0.697 1.081
O 4.941 3.624 1.081
O 5.601 2.160 3.731
```

Most intense lines, 2θ = 10–90°, by angle:
| 2theta | I_rel |
| --- | --- |
| 29.42 | 20 |
| 29.83 | 100 |
| 31.38 | 20 |
| 41.81 | 12 |
| 43.55 | 16 |
| 52.44 | 12 |
| 53.19 | 12 |
| 54.90 | 20 |

=====

[4]
This entry pairs a crystal structure of CsS2N3 with its computed X-ray powder pattern. Radiation: copper Kα. Structure: a DFT-relaxed cell (GGA-PBE, the Materials Project).

Atomic structure:
```
24
Lattice="4.983 -6.485 0.000 4.983 6.485 0.000 -2.515 0.000 10.774" Properties=species:S:1:pos:R:3 pbc="T T T"
Cs 3.097 5.614 8.080
Cs 3.097 1.273 8.080
Cs 4.355 -1.273 2.693
Cs 4.355 -5.614 2.693
S 2.982 4.365 4.811
S 2.709 3.146 2.178
S 5.727 4.365 0.576
S 6.001 3.146 3.209
S 1.451 -3.146 7.565
S 1.725 -4.365 10.198
S 4.743 -3.146 8.596
S 4.469 -4.365 5.963
N 2.917 4.472 3.179
N 3.045 3.102 5.597
N 5.792 4.472 2.208
N 3.758 1.817 2.484
N 3.149 3.102 10.563
N 4.951 1.817 2.903
N 2.500 -1.817 7.871
N 4.303 -3.102 0.210
N 3.693 -1.817 8.290
N 1.659 -4.472 8.565
N 4.406 -3.102 5.176
N 4.535 -4.472 7.595
```

Most intense lines, 2θ = 10–90°, by angle:
| 2theta | I_rel |
| --- | --- |
| 16.46 | 100 |
| 18.28 | 81 |
| 23.26 | 75 |
| 24.72 | 55 |
| 25.72 | 31 |
| 27.79 | 59 |
| 32.10 | 48 |
| 33.26 | 27 |